# 1
Computed powder XRD pattern
Compound: CsPu2F6
Radiation: copper Kα
Structure: a DFT-relaxed cell (PBE, Alexandria)
Kinematic intensities with the Lorentz-polarization factor, no thermal factor.

Cell and atoms:
abc: 6.5606 6.5606 5.9284
angles: 90.00 90.00 120.00
Space group P-31m (No. 162)
One atom of each set of equivalent atoms:
Cs  0.0000  0.0000  0.0000 (multiplicity 1)
Pu  0.3333  0.6667  0.5000 (multiplicity 2)
F  0.0000  0.3864  0.7056 (multiplicity 6)

Peak list (6 most intense, 10 to 90 degrees two-theta, in order of rising 2θ)
- hkl 0 0 1, 2θ 14.9, rel. 382
- hkl 1 0 1, 2θ 21.7, rel. 1000
- hkl 1 1 0, 2θ 27.2, rel. 612
- hkl 2 -1 1, 2θ 31.2, rel. 330
- hkl 2 -1 2, 2θ 41.0, rel. 588
- hkl 3 -1 1, 2θ 44.9, rel. 296

# 2
Computed powder XRD pattern
Compound: CsPuF4
Radiation: copper Kα
Structure: a DFT-relaxed cell (PBE, Alexandria)
Kinematic intensities with the Lorentz-polarization factor, no thermal factor.

Cell and atoms:
abc: 6.6236 3.8586 16.9610
angles: 90.00 90.00 90.00
Space group Pnma (No. 62)
One atom of each set of equivalent atoms:
Cs  0.2290  0.2500  0.1952 (multiplicity 4)
Pu  0.2478  0.7500  0.4453 (multiplicity 4)
F  0.0105  0.7500  0.9496 (multiplicity 4)
F  0.1096  0.2500  0.8219 (multiplicity 4)
F  0.1170  0.2500  0.3795 (multiplicity 4)
F  0.1264  0.2500  0.5392 (multiplicity 4)

Peak list (6 most intense, 10 to 90 degrees two-theta, in order of rising 2θ)
- hkl 1 0 4, 2θ 24.9, rel. 1000
- hkl 2 0 0, 2θ 26.9, rel. 412
- hkl 1 1 1, 2θ 27.3, rel. 852
- hkl 0 1 3, 2θ 28.0, rel. 401
- hkl 2 1 3, 2θ 39.2, rel. 444
- hkl 3 0 4, 2θ 46.3, rel. 475

# 3
Computed powder XRD pattern
Compound: Cs3PuF7
Radiation: copper Kα
Structure: a DFT-relaxed cell (PBE, Alexandria)
Kinematic intensities with the Lorentz-polarization factor, no thermal factor.

Cell and atoms:
abc: 9.9534 9.1801 7.5601
angles: 90.00 128.90 90.00
Space group Cm (No. 8)
One atom of each set of equivalent atoms:
Cs  0.0000  0.0000  0.0000 (multiplicity 2)
Cs  0.4899  0.2357  0.4437 (multiplicity 4)
Pu  0.4530  0.0000  0.8980 (multiplicity 2)
F  0.1196  0.3437  0.1739 (multiplicity 4)
F  0.1266  0.5000  0.8124 (multiplicity 2)
F  0.1686  0.0000  0.5344 (multiplicity 2)
F  0.3037  0.0000  0.0200 (multiplicity 2)
F  0.3792  0.2221  0.7327 (multiplicity 4)

Peak list (6 most intense, 10 to 90 degrees two-theta, in order of rising 2θ)
- hkl 1 1 0, 2θ 15.0, rel. 302
- hkl 2 0 0, 2θ 23.0, rel. 534
- hkl 2 0 -2, 2θ 23.9, rel. 519
- hkl 0 2 1, 2θ 24.6, rel. 1000
- hkl 2 2 -1, 2θ 26.4, rel. 640
- hkl 2 2 1, 2θ 40.1, rel. 289

# 4
Computed powder XRD pattern
Compound: CsPuF3
Radiation: copper Kα
Structure: a DFT-relaxed cell (PBE, Alexandria)
Kinematic intensities with the Lorentz-polarization factor, no thermal factor.

Cell and atoms:
abc: 6.5090 6.5090 19.5229
angles: 90.00 90.00 120.00
Space group R-3m (No. 166, hexagonal axes)
One atom of each set of equivalent atoms:
Cs  0.0000  0.0000  0.1260 (multiplicity 6)
Pu  0.0000  0.0000  0.3448 (multiplicity 6)
F  0.0177  0.5088  0.9235 (multiplicity 18)

Peak list (6 most intense, 10 to 90 degrees two-theta, in order of rising 2θ)
- hkl 1 0 4, 2θ 24.1, rel. 903
- hkl 1 1 0, 2θ 27.4, rel. 1000
- hkl 0 2 4, 2θ 36.8, rel. 374
- hkl 1 1 6, 2θ 39.1, rel. 346
- hkl 2 1 4, 2θ 46.5, rel. 344
- hkl 2 2 0, 2θ 56.6, rel. 305

# 5
Computed powder XRD pattern
Compound: Cs12RbF3
Radiation: copper Kα
Structure: a DFT-relaxed cell (PBE, Alexandria)
Kinematic intensities with the Lorentz-polarization factor, no thermal factor.

Cell and atoms:
abc: 15.2853 15.2853 43.4392
angles: 90.00 90.00 120.00
Space group R3c (No. 161, hexagonal axes)
One atom of each set of equivalent atoms:
Cs  0.1615  0.4007  0.0000 (multiplicity 18)
Cs  0.1740  0.3935  0.7428 (multiplicity 18)
Cs  0.1781  0.4162  0.1012 (multiplicity 18)
Cs  0.1990  0.4136  0.3726 (multiplicity 18)
Rb  0.0000  0.0000  0.0100 (multiplicity 6)
F  0.0326  0.3551  0.0533 (multiplicity 18)

Peak list (6 most intense, 10 to 90 degrees two-theta, in order of rising 2θ)
- hkl 1 1 3, 2θ 13.1, rel. 240
- hkl 0 1 8, 2θ 17.7, rel. 286
- hkl 3 0 0, 2θ 20.1, rel. 1000
- hkl 2 0 8, 2θ 21.2, rel. 792
- hkl 1 2 8, 2θ 24.2, rel. 608
- hkl 2 3 8, 2θ 33.8, rel. 324

# 6
Computed powder XRD pattern
Compound: Cs6RbF
Radiation: copper Kα
Structure: a DFT-relaxed cell (PBE, Alexandria)
Kinematic intensities with the Lorentz-polarization factor, no thermal factor.

Cell and atoms:
abc: 17.4017 9.0661 17.5637
angles: 90.00 102.94 90.00
Space group C2/c (No. 15)
One atom of each set of equivalent atoms:
Cs  0.0847  0.1128  0.3989 (multiplicity 8)
Cs  0.1537  0.4518  0.0402 (multiplicity 8)
Cs  0.2209  0.0980  0.6514 (multiplicity 8)
Rb  0.0000  0.3737  0.7500 (multiplicity 4)
F  0.2500  0.2500  0.5000 (multiplicity 4)

Peak list (6 most intense, 10 to 90 degrees two-theta, in order of rising 2θ)
- hkl 1 1 3, 2θ 20.0, rel. 425
- hkl 4 0 -2, 2θ 21.2, rel. 682
- hkl 2 2 -1, 2θ 22.3, rel. 1000
- hkl 1 1 -4, 2θ 22.5, rel. 818
- hkl 3 1 2, 2θ 22.9, rel. 857
- hkl 1 3 3, 2θ 34.5, rel. 345